(1)
The following is a computed PXRD pattern of TlSb3F18. It was derived from a crystal structure in Alexandria, relaxed with GGA-PBE, using Cu Kα X-rays.
Lines closer than 0.1° are merged.

Main lines, sorted by position (2θ = 10–80°):
| 2theta | I_rel |
| --- | --- |
| 10.63 | 38 |
| 14.55 | 18 |
| 21.00 | 100 |
| 22.60 | 12 |
| 27.27 | 31 |
| 32.27 | 21 |
| 38.82 | 15 |
| 41.78 | 17 |
| 48.73 | 14 |
| 51.34 | 12 |

Crystal structure
```
data_TlSb3F18
_chemical_formula_sum 'Tl2 Sb6 F36'
_cell_length_a 9.610
_cell_length_b 9.610
_cell_length_c 8.929
_cell_angle_alpha 90.00
_cell_angle_beta 90.00
_cell_angle_gamma 120.00
_symmetry_space_group_name_H-M 'P 1'
_symmetry_Int_Tables_number 1
loop_
_symmetry_equiv_pos_as_xyz
'x,y,z'
loop_
_atom_site_label
_atom_site_type_symbol
_atom_site_fract_x
_atom_site_fract_y
_atom_site_fract_z
_atom_site_occupancy
Tl1 Tl 0.333 0.667 0.073 1
Tl2 Tl 0.667 0.333 0.927 1
Sb1 Sb 0.017 0.655 0.745 1
Sb2 Sb 0.345 0.362 0.745 1
Sb3 Sb 0.362 0.017 0.255 1
Sb4 Sb 0.638 0.983 0.745 1
Sb5 Sb 0.655 0.638 0.255 1
Sb6 Sb 0.983 0.345 0.255 1
F1 F 0.111 0.320 0.400 1
F2 F 0.125 0.284 0.776 1
F3 F 0.125 0.362 0.093 1
F4 F 0.134 0.584 0.247 1
F5 F 0.137 0.607 0.902 1
F6 F 0.138 0.614 0.604 1
F7 F 0.159 0.875 0.776 1
F8 F 0.208 0.889 0.400 1
F9 F 0.237 0.875 0.093 1
F10 F 0.284 0.159 0.224 1
F11 F 0.320 0.208 0.600 1
F12 F 0.362 0.237 0.907 1
F13 F 0.386 0.524 0.604 1
F14 F 0.393 0.530 0.902 1
F15 F 0.416 0.550 0.247 1
F16 F 0.450 0.866 0.247 1
F17 F 0.470 0.863 0.902 1
F18 F 0.476 0.862 0.604 1
F19 F 0.524 0.138 0.396 1
F20 F 0.530 0.137 0.098 1
F21 F 0.550 0.134 0.753 1
F22 F 0.584 0.450 0.753 1
F23 F 0.607 0.470 0.098 1
F24 F 0.614 0.476 0.396 1
F25 F 0.638 0.763 0.093 1
F26 F 0.680 0.792 0.400 1
F27 F 0.716 0.841 0.776 1
F28 F 0.763 0.125 0.907 1
F29 F 0.792 0.111 0.600 1
F30 F 0.841 0.125 0.224 1
F31 F 0.862 0.386 0.396 1
F32 F 0.863 0.393 0.098 1
F33 F 0.866 0.416 0.753 1
F34 F 0.875 0.638 0.907 1
F35 F 0.875 0.716 0.224 1
F36 F 0.889 0.680 0.600 1
```

---

(2)
The following is a computed PXRD pattern of Tl3SbF6. It was derived from a crystal structure in Alexandria, relaxed with GGA-PBE, using Cu Kα X-rays.
Lines closer than 0.1° are merged.

Main lines, sorted by position (2θ = 10–80°):
| 2theta | I_rel |
| --- | --- |
| 24.03 | 97 |
| 26.40 | 100 |
| 28.52 | 53 |
| 30.60 | 27 |
| 37.58 | 24 |
| 42.32 | 54 |
| 46.51 | 43 |
| 49.21 | 15 |
| 50.57 | 42 |
| 51.89 | 15 |

Crystal structure
```
data_Tl3SbF6
_chemical_formula_sum 'Tl3 Sb1 F6'
_cell_length_a 7.554
_cell_length_b 7.159
_cell_length_c 6.326
_cell_angle_alpha 67.81
_cell_angle_beta 61.34
_cell_angle_gamma 50.84
_symmetry_space_group_name_H-M 'P 1'
_symmetry_Int_Tables_number 1
loop_
_symmetry_equiv_pos_as_xyz
'x,y,z'
loop_
_atom_site_label
_atom_site_type_symbol
_atom_site_fract_x
_atom_site_fract_y
_atom_site_fract_z
_atom_site_occupancy
Tl1 Tl 0.000 0.000 0.000 1
Tl2 Tl 0.250 0.250 0.250 1
Tl3 Tl 0.750 0.750 0.750 1
Sb1 Sb 0.500 0.500 0.500 1
F1 F 0.174 0.563 0.826 1
F2 F 0.271 0.729 0.271 1
F3 F 0.437 0.826 0.563 1
F4 F 0.563 0.174 0.437 1
F5 F 0.729 0.271 0.729 1
F6 F 0.826 0.437 0.174 1
```

---

(3)
The following is a computed PXRD pattern of SbXe2F9. It was derived from a crystal structure in Alexandria, relaxed with GGA-PBE, using Cu Kα X-rays.
Lines closer than 0.1° are merged.

Main lines, sorted by position (2θ = 10–80°):
| 2theta | I_rel |
| --- | --- |
| 21.06 | 83 |
| 22.01 | 97 |
| 22.50 | 62 |
| 24.14 | 100 |
| 25.68 | 55 |
| 27.99 | 20 |
| 36.77 | 45 |
| 37.22 | 22 |
| 40.51 | 18 |
| 42.30 | 22 |

Crystal structure
```
data_SbXe2F9
_chemical_formula_sum 'Sb2 Xe4 F18'
_cell_length_a 8.584
_cell_length_b 8.584
_cell_length_c 10.365
_cell_angle_alpha 124.44
_cell_angle_beta 124.44
_cell_angle_gamma 58.10
_symmetry_space_group_name_H-M 'P 1'
_symmetry_Int_Tables_number 1
loop_
_symmetry_equiv_pos_as_xyz
'x,y,z'
loop_
_atom_site_label
_atom_site_type_symbol
_atom_site_fract_x
_atom_site_fract_y
_atom_site_fract_z
_atom_site_occupancy
Sb1 Sb 0.137 0.863 0.500 1
Sb2 Sb 0.863 0.137 0.000 1
Xe1 Xe 0.234 0.419 0.971 1
Xe2 Xe 0.419 0.234 0.471 1
Xe3 Xe 0.602 0.808 0.058 1
Xe4 Xe 0.808 0.602 0.558 1
F1 F 0.007 0.424 0.718 1
F2 F 0.031 0.677 0.450 1
F3 F 0.043 0.248 0.049 1
F4 F 0.051 0.874 0.960 1
F5 F 0.083 0.758 0.263 1
F6 F 0.189 0.966 0.735 1
F7 F 0.248 0.043 0.549 1
F8 F 0.385 0.441 0.689 1
F9 F 0.395 0.666 0.534 1
F10 F 0.424 0.007 0.218 1
F11 F 0.441 0.385 0.189 1
F12 F 0.617 0.745 0.399 1
F13 F 0.666 0.395 0.034 1
F14 F 0.677 0.031 0.950 1
F15 F 0.745 0.617 0.899 1
F16 F 0.758 0.083 0.763 1
F17 F 0.874 0.051 0.460 1
F18 F 0.966 0.189 0.235 1
```

---

(4)
The following is a computed PXRD pattern of ScF3. It was derived from a crystal structure in Alexandria, relaxed with GGA-PBE, using Cu Kα X-rays.
Lines closer than 0.1° are merged.

Main lines, sorted by position (2θ = 10–80°):
| 2theta | I_rel |
| --- | --- |
| 23.72 | 38 |
| 24.42 | 100 |
| 28.73 | 17 |
| 39.17 | 19 |
| 47.60 | 25 |
| 48.75 | 20 |
| 49.30 | 12 |
| 50.05 | 22 |
| 59.50 | 10 |
| 63.04 | 8 |

Crystal structure
```
data_ScF3
_chemical_formula_sum 'Sc2 F6'
_cell_length_a 4.900
_cell_length_b 6.065
_cell_length_c 4.030
_cell_angle_alpha 90.00
_cell_angle_beta 111.44
_cell_angle_gamma 90.00
_symmetry_space_group_name_H-M 'P 1'
_symmetry_Int_Tables_number 1
loop_
_symmetry_equiv_pos_as_xyz
'x,y,z'
loop_
_atom_site_label
_atom_site_type_symbol
_atom_site_fract_x
_atom_site_fract_y
_atom_site_fract_z
_atom_site_occupancy
Sc1 Sc 0.000 0.000 0.000 1
Sc2 Sc 0.500 0.500 0.000 1
F1 F 0.000 0.080 0.500 1
F2 F 0.192 0.731 0.863 1
F3 F 0.308 0.231 0.137 1
F4 F 0.500 0.580 0.500 1
F5 F 0.692 0.231 0.863 1
F6 F 0.808 0.731 0.137 1
```

---

(5)
The following is a computed PXRD pattern of ScF3. It was derived from a crystal structure in Alexandria, relaxed with GGA-PBE, using Cu Kα X-rays.
Lines closer than 0.1° are merged.

Main lines, sorted by position (2θ = 10–80°):
| 2theta | I_rel |
| --- | --- |
| 21.90 | 100 |
| 31.17 | 11 |
| 44.66 | 32 |
| 50.27 | 34 |
| 55.44 | 4 |
| 64.94 | 8 |
| 65.06 | 8 |
| 69.37 | 3 |
| 69.51 | 11 |
| 73.84 | 2 |

Crystal structure
```
data_ScF3
_chemical_formula_sum 'Sc2 F6'
_cell_length_a 5.744
_cell_length_b 5.744
_cell_length_c 5.744
_cell_angle_alpha 59.89
_cell_angle_beta 59.89
_cell_angle_gamma 59.89
_symmetry_space_group_name_H-M 'P 1'
_symmetry_Int_Tables_number 1
loop_
_symmetry_equiv_pos_as_xyz
'x,y,z'
loop_
_atom_site_label
_atom_site_type_symbol
_atom_site_fract_x
_atom_site_fract_y
_atom_site_fract_z
_atom_site_occupancy
Sc1 Sc 0.000 0.000 0.000 1
Sc2 Sc 0.500 0.500 0.500 1
F1 F 0.227 0.750 0.273 1
F2 F 0.250 0.727 0.773 1
F3 F 0.273 0.227 0.750 1
F4 F 0.727 0.773 0.250 1
F5 F 0.750 0.273 0.227 1
F6 F 0.773 0.250 0.727 1
```

---

(6)
The following is a computed PXRD pattern of ScF. It was derived from a crystal structure in Alexandria, relaxed with GGA-PBE, using Cu Kα X-rays.
Lines closer than 0.1° are merged.

Main lines, sorted by position (2θ = 10–80°):
| 2theta | I_rel |
| --- | --- |
| 19.70 | 40 |
| 28.00 | 24 |
| 30.14 | 32 |
| 31.39 | 100 |
| 34.83 | 68 |
| 35.93 | 34 |
| 41.61 | 53 |
| 53.03 | 44 |
| 54.83 | 24 |
| 58.12 | 21 |

Crystal structure
```
data_ScF
_chemical_formula_sum 'Sc8 F8'
_cell_length_a 9.013
_cell_length_b 9.013
_cell_length_c 3.349
_cell_angle_alpha 90.00
_cell_angle_beta 90.00
_cell_angle_gamma 90.00
_symmetry_space_group_name_H-M 'P 1'
_symmetry_Int_Tables_number 1
loop_
_symmetry_equiv_pos_as_xyz
'x,y,z'
loop_
_atom_site_label
_atom_site_type_symbol
_atom_site_fract_x
_atom_site_fract_y
_atom_site_fract_z
_atom_site_occupancy
Sc1 Sc 0.081 0.328 0.000 1
Sc2 Sc 0.275 0.591 0.500 1
Sc3 Sc 0.328 0.919 0.000 1
Sc4 Sc 0.409 0.275 0.500 1
Sc5 Sc 0.591 0.725 0.500 1
Sc6 Sc 0.672 0.081 0.000 1
Sc7 Sc 0.725 0.409 0.500 1
Sc8 Sc 0.919 0.672 0.000 1
F1 F 0.046 0.209 0.500 1
F2 F 0.177 0.713 0.000 1
F3 F 0.209 0.954 0.500 1
F4 F 0.287 0.177 0.000 1
F5 F 0.713 0.823 0.000 1
F6 F 0.791 0.046 0.500 1
F7 F 0.823 0.287 0.000 1
F8 F 0.954 0.791 0.500 1
```